No. 1
Na14Mg2Se9: theoretical powder diffraction line list (a wavelength of 1.5418 Å), based on DFT lattice parameters and positions (GGA-PBE).
Intensities are scaled so that the largest is 100.

Cell and atoms:
Lattice parameters (Å, degrees): 8.278 8.278 11.636 90.00 90.00 120.00
Atoms (fractional coordinates):
Na 0.000 0.000 0.248
Na 0.000 0.000 0.752
Na 0.028 0.675 0.409
Na 0.057 0.373 0.092
Na 0.316 0.943 0.092
Na 0.325 0.353 0.409
Na 0.353 0.028 0.591
Na 0.373 0.316 0.908
Na 0.627 0.684 0.092
Na 0.647 0.972 0.409
Na 0.675 0.647 0.591
Na 0.684 0.057 0.908
Na 0.943 0.627 0.908
Na 0.972 0.325 0.591
Mg 0.333 0.667 0.761
Mg 0.667 0.333 0.239
Se 0.000 0.000 0.500
Se 0.050 0.355 0.837
Se 0.306 0.950 0.837
Se 0.333 0.667 0.534
Se 0.355 0.306 0.163
Se 0.645 0.694 0.837
Se 0.667 0.333 0.466
Se 0.694 0.050 0.163
Se 0.950 0.645 0.163

Peak list (10 most intense, 2θ = 5–70°, most intense first)
22.80 deg, I 100; 37.80 deg, I 57; 37.64 deg, I 54; 44.51 deg, I 38; 22.93 deg, I 35; 14.51 deg, I 17; 54.41 deg, I 14; 26.43 deg, I 13; 44.67 deg, I 12; 33.98 deg, I 12

***

No. 2
Na3MgSi: theoretical powder diffraction line list (a wavelength of 1.5418 Å), based on DFT lattice parameters and positions (GGA-PBE).
Intensities are scaled so that the largest is 100.

Cell and atoms:
Lattice parameters (Å, degrees): 5.637 5.637 5.637 90.00 90.00 90.00
Atoms (fractional coordinates):
Na 0.000 0.000 0.500
Na 0.000 0.500 0.000
Na 0.500 0.000 0.000
Mg 0.500 0.500 0.500
Si 0.000 0.000 0.000

Peak list (10 most intense, 2θ = 5–70°, most intense first)
31.75 deg, I 100; 45.51 deg, I 70; 27.41 deg, I 59; 22.30 deg, I 30; 15.72 deg, I 29; 53.95 deg, I 24; 56.56 deg, I 23; 35.61 deg, I 13; 39.15 deg, I 12; 66.33 deg, I 10

***

No. 3
NaMg14Si: theoretical powder diffraction line list (a wavelength of 1.5418 Å), based on DFT lattice parameters and positions (GGA-PBE).
Intensities are scaled so that the largest is 100.

Cell and atoms:
Lattice parameters (Å, degrees): 6.392 6.392 10.216 90.00 90.00 120.00
Atoms (fractional coordinates):
Na 0.000 0.000 0.000
Mg 0.005 0.503 0.000
Mg 0.165 0.330 0.264
Mg 0.165 0.330 0.736
Mg 0.165 0.835 0.264
Mg 0.165 0.835 0.736
Mg 0.497 0.503 0.000
Mg 0.497 0.995 0.000
Mg 0.504 0.008 0.500
Mg 0.504 0.496 0.500
Mg 0.667 0.333 0.246
Mg 0.667 0.333 0.754
Mg 0.670 0.835 0.264
Mg 0.670 0.835 0.736
Mg 0.992 0.496 0.500
Si 0.000 0.000 0.500

Peak list (10 most intense, 2θ = 5–70°, most intense first)
36.94 deg, I 100; 35.14 deg, I 25; 32.34 deg, I 24; 69.37 deg, I 18; 57.68 deg, I 17; 64.22 deg, I 17; 48.50 deg, I 14; 67.70 deg, I 3; 8.66 deg, I 2; 42.07 deg, I 1

***

No. 4
NaMg2SiTe4: theoretical powder diffraction line list (a wavelength of 1.5418 Å), based on DFT lattice parameters and positions (GGA-PBE).
Intensities are scaled so that the largest is 100.

Cell and atoms:
Lattice parameters (Å, degrees): 7.765 7.762 6.799 64.06 64.01 51.94
Atoms (fractional coordinates):
Na 0.000 0.000 0.000
Mg 0.249 0.249 0.251
Mg 0.749 0.749 0.751
Si 0.499 0.499 0.501
Te 0.144 0.599 0.856
Te 0.400 0.854 0.146
Te 0.599 0.144 0.401
Te 0.854 0.400 0.600

Peak list (10 most intense, 2θ = 5–70°, most intense first)
23.57 deg, I 100; 39.72 deg, I 34; 26.21 deg, I 21; 37.41 deg, I 19; 44.68 deg, I 15; 44.71 deg, I 15; 48.65 deg, I 14; 62.94 deg, I 11; 69.03 deg, I 10; 29.30 deg, I 9

***

No. 5
Na12MgSn7: theoretical powder diffraction line list (a wavelength of 1.5418 Å), based on DFT lattice parameters and positions (GGA-PBE).
Intensities are scaled so that the largest is 100.

Cell and atoms:
Lattice parameters (Å, degrees): 11.002 11.002 11.002 116.39 116.39 116.39
Atoms (fractional coordinates):
Na 0.003 0.055 0.335
Na 0.055 0.335 0.003
Na 0.107 0.485 0.656
Na 0.335 0.003 0.055
Na 0.344 0.893 0.515
Na 0.485 0.656 0.107
Na 0.515 0.344 0.893
Na 0.656 0.107 0.485
Na 0.665 0.997 0.945
Na 0.893 0.515 0.344
Na 0.945 0.665 0.997
Na 0.997 0.945 0.665
Mg 0.500 0.500 0.500
Sn 0.000 0.000 0.000
Sn 0.198 0.489 0.418
Sn 0.418 0.198 0.489
Sn 0.489 0.418 0.198
Sn 0.511 0.582 0.802
Sn 0.582 0.802 0.511
Sn 0.802 0.511 0.582

Peak list (10 most intense, 2θ = 5–70°, most intense first)
34.59 deg, I 100; 9.46 deg, I 85; 24.27 deg, I 39; 61.99 deg, I 27; 14.99 deg, I 21; 56.08 deg, I 18; 27.82 deg, I 15; 49.73 deg, I 14; 42.71 deg, I 13; 30.99 deg, I 12

***

No. 6
NaMg6Sn: theoretical powder diffraction line list (a wavelength of 1.5418 Å), based on DFT lattice parameters and positions (GGA-PBE).
Intensities are scaled so that the largest is 100.

Cell and atoms:
Lattice parameters (Å, degrees): 5.181 6.556 6.556 58.79 90.00 90.00
Atoms (fractional coordinates):
Na 0.000 0.000 0.000
Mg 0.000 0.001 0.496
Mg 0.000 0.496 0.001
Mg 0.500 0.164 0.663
Mg 0.500 0.168 0.168
Mg 0.500 0.663 0.164
Mg 0.500 0.668 0.668
Sn 0.000 0.499 0.499

Peak list (10 most intense, 2θ = 5–70°, most intense first)
36.44 deg, I 100; 35.91 deg, I 52; 15.80 deg, I 50; 23.38 deg, I 41; 34.63 deg, I 37; 31.92 deg, I 30; 15.51 deg, I 23; 23.18 deg, I 21; 47.80 deg, I 21; 67.65 deg, I 20

***

No. 7
Na2MgSn6: theoretical powder diffraction line list (a wavelength of 1.5418 Å), based on DFT lattice parameters and positions (GGA-PBE).
Intensities are scaled so that the largest is 100.

Cell and atoms:
Lattice parameters (Å, degrees): 8.874 8.874 8.874 133.46 56.87 149.18
Atoms (fractional coordinates):
Na 0.111 0.000 0.111
Na 0.889 0.000 0.889
Mg 0.001 0.501 0.500
Sn 0.304 0.207 0.513
Sn 0.304 0.791 0.097
Sn 0.500 0.278 0.778
Sn 0.500 0.723 0.222
Sn 0.695 0.207 0.903
Sn 0.695 0.791 0.487

Peak list (10 most intense, 2θ = 5–70°, most intense first)
34.45 deg, I 100; 25.43 deg, I 68; 19.66 deg, I 60; 32.33 deg, I 60; 43.29 deg, I 57; 38.16 deg, I 32; 22.78 deg, I 23; 52.34 deg, I 20; 46.41 deg, I 19; 44.81 deg, I 17

***

No. 8
NaMg6Sn2: theoretical powder diffraction line list (a wavelength of 1.5418 Å), based on DFT lattice parameters and positions (GGA-PBE).
Intensities are scaled so that the largest is 100.

Cell and atoms:
Lattice parameters (Å, degrees): 4.697 4.697 10.591 90.00 90.00 90.00
Atoms (fractional coordinates):
Na 0.000 0.000 0.000
Mg 0.000 0.000 0.500
Mg 0.000 0.500 0.298
Mg 0.000 0.500 0.702
Mg 0.500 0.000 0.298
Mg 0.500 0.000 0.702
Mg 0.500 0.500 0.500
Sn 0.500 0.500 0.135
Sn 0.500 0.500 0.865

Peak list (10 most intense, 2θ = 5–70°, most intense first)
18.89 deg, I 100; 31.73 deg, I 82; 37.17 deg, I 75; 38.33 deg, I 64; 20.69 deg, I 62; 8.35 deg, I 57; 39.05 deg, I 46; 28.16 deg, I 43; 26.84 deg, I 42; 50.56 deg, I 34

***

No. 9
Na3Mg7Sn4: theoretical powder diffraction line list (a wavelength of 1.5418 Å), based on DFT lattice parameters and positions (GGA-PBE).
Intensities are scaled so that the largest is 100.

Cell and atoms:
Lattice parameters (Å, degrees): 9.047 9.047 11.156 125.01 125.01 30.42
Atoms (fractional coordinates):
Na 0.000 0.000 0.000
Na 0.310 0.310 0.301
Na 0.690 0.690 0.699
Mg 0.000 0.000 0.500
Mg 0.168 0.168 0.422
Mg 0.321 0.321 0.980
Mg 0.487 0.487 0.698
Mg 0.513 0.513 0.302
Mg 0.679 0.679 0.020
Mg 0.832 0.832 0.578
Sn 0.110 0.110 0.823
Sn 0.335 0.335 0.736
Sn 0.665 0.665 0.264
Sn 0.890 0.890 0.177

Peak list (10 most intense, 2θ = 5–70°, most intense first)
23.76 deg, I 100; 20.97 deg, I 83; 31.83 deg, I 72; 37.69 deg, I 72; 19.79 deg, I 70; 37.91 deg, I 64; 41.40 deg, I 61; 39.23 deg, I 61; 20.34 deg, I 55; 43.14 deg, I 53

***

No. 10
NaMgZn2Sn2: theoretical powder diffraction line list (a wavelength of 1.5418 Å), based on DFT lattice parameters and positions (GGA-PBE).
Intensities are scaled so that the largest is 100.

Cell and atoms:
Lattice parameters (Å, degrees): 4.701 4.701 7.191 90.00 90.00 120.00
Atoms (fractional coordinates):
Na 0.000 0.000 0.000
Mg 0.000 0.000 0.500
Zn 0.333 0.667 0.698
Zn 0.667 0.333 0.302
Sn 0.333 0.667 0.263
Sn 0.667 0.333 0.737

Peak list (10 most intense, 2θ = 5–70°, most intense first)
38.29 deg, I 100; 33.24 deg, I 82; 46.14 deg, I 58; 24.76 deg, I 50; 21.83 deg, I 44; 25.14 deg, I 29; 69.25 deg, I 27; 51.60 deg, I 23; 65.35 deg, I 22; 66.04 deg, I 22

***

No. 11
Na3Sr6Mg: theoretical powder diffraction line list (a wavelength of 1.5418 Å), based on DFT lattice parameters and positions (GGA-PBE).
Intensities are scaled so that the largest is 100.

Cell and atoms:
Lattice parameters (Å, degrees): 6.360 10.968 14.995 90.00 115.08 90.00
Atoms (fractional coordinates):
Na 0.000 0.000 0.000
Na 0.000 0.500 0.500
Na 0.253 0.166 0.756
Na 0.253 0.334 0.256
Na 0.747 0.666 0.744
Na 0.747 0.834 0.244
Sr 0.081 0.656 0.082
Sr 0.081 0.844 0.582
Sr 0.256 0.001 0.253
Sr 0.256 0.499 0.753
Sr 0.419 0.677 0.420
Sr 0.419 0.823 0.920
Sr 0.581 0.177 0.080
Sr 0.581 0.323 0.580
Sr 0.744 0.501 0.247
Sr 0.744 0.999 0.747
Sr 0.919 0.156 0.418
Sr 0.919 0.344 0.918
Mg 0.500 0.000 0.500
Mg 0.500 0.500 0.000

Peak list (10 most intense, 2θ = 5–70°, most intense first)
28.12 deg, I 100; 25.49 deg, I 79; 20.79 deg, I 40; 30.96 deg, I 31; 38.32 deg, I 26; 49.48 deg, I 19; 17.41 deg, I 18; 48.24 deg, I 17; 49.71 deg, I 13; 42.31 deg, I 13

***

No. 12
NaSr4Mg5: theoretical powder diffraction line list (a wavelength of 1.5418 Å), based on DFT lattice parameters and positions (GGA-PBE).
Intensities are scaled so that the largest is 100.

Cell and atoms:
Lattice parameters (Å, degrees): 4.086 4.086 21.021 90.00 90.00 90.00
Atoms (fractional coordinates):
Na 0.000 0.000 0.000
Sr 0.000 0.000 0.191
Sr 0.000 0.000 0.397
Sr 0.000 0.000 0.603
Sr 0.000 0.000 0.809
Mg 0.500 0.500 0.083
Mg 0.500 0.500 0.293
Mg 0.500 0.500 0.500
Mg 0.500 0.500 0.707
Mg 0.500 0.500 0.917

Peak list (10 most intense, 2θ = 5–70°, most intense first)
30.51 deg, I 100; 30.95 deg, I 52; 54.78 deg, I 37; 21.75 deg, I 29; 44.34 deg, I 19; 53.94 deg, I 16; 21.13 deg, I 16; 37.78 deg, I 14; 27.65 deg, I 10; 63.50 deg, I 10

***

Repeat the sixth record exactly.
NaMg6Sn: theoretical powder diffraction line list (a wavelength of 1.5418 Å), based on DFT lattice parameters and positions (GGA-PBE).
Intensities are scaled so that the largest is 100.

Cell and atoms:
Lattice parameters (Å, degrees): 5.181 6.556 6.556 58.79 90.00 90.00
Atoms (fractional coordinates):
Na 0.000 0.000 0.000
Mg 0.000 0.001 0.496
Mg 0.000 0.496 0.001
Mg 0.500 0.164 0.663
Mg 0.500 0.168 0.168
Mg 0.500 0.663 0.164
Mg 0.500 0.668 0.668
Sn 0.000 0.499 0.499

Peak list (10 most intense, 2θ = 5–70°, most intense first)
36.44 deg, I 100; 35.91 deg, I 52; 15.80 deg, I 50; 23.38 deg, I 41; 34.63 deg, I 37; 31.92 deg, I 30; 15.51 deg, I 23; 23.18 deg, I 21; 47.80 deg, I 21; 67.65 deg, I 20

***

Please write out number 4 again, unchanged.
NaMg2SiTe4: theoretical powder diffraction line list (a wavelength of 1.5418 Å), based on DFT lattice parameters and positions (GGA-PBE).
Intensities are scaled so that the largest is 100.

Cell and atoms:
Lattice parameters (Å, degrees): 7.765 7.762 6.799 64.06 64.01 51.94
Atoms (fractional coordinates):
Na 0.000 0.000 0.000
Mg 0.249 0.249 0.251
Mg 0.749 0.749 0.751
Si 0.499 0.499 0.501
Te 0.144 0.599 0.856
Te 0.400 0.854 0.146
Te 0.599 0.144 0.401
Te 0.854 0.400 0.600

Peak list (10 most intense, 2θ = 5–70°, most intense first)
23.57 deg, I 100; 39.72 deg, I 34; 26.21 deg, I 21; 37.41 deg, I 19; 44.68 deg, I 15; 44.71 deg, I 15; 48.65 deg, I 14; 62.94 deg, I 11; 69.03 deg, I 10; 29.30 deg, I 9